1.
Diffraction record for CeHoSe2S. The PXRD pattern is calculated, not measured: it uses a crystal structure in Alexandria, relaxed with PBE and Cu Kα X-rays.
No peak broadening, texture or thermal motion is included.

Cell and atoms:
Unit cell a=4.185 b=4.185 c=14.430 alpha=90.00 beta=90.00 gamma=90.00
Space group P4/nmm (No. 129, origin choice 2)
Asymmetric unit:
1 Ce 0.250 0.250 0.123 [2 per cell]
2 Ho 0.250 0.250 0.604 [2 per cell]
3 Se 0.250 0.250 0.401 [2 per cell]
4 Se 0.250 0.250 0.794 [2 per cell]
5 S 0.250 0.750 0.000 [2 per cell]

Most intense lines, 10° ≤ 2θ ≤ 80°, sorted by position:
2θ 24.6, I 916, (0 0 4)
2θ 30.2, I 1000, (1 1 0)
2θ 39.4, I 614, (1 1 4)
2θ 43.2, I 496, (2 0 0)
2θ 43.4, I 334, (1 0 6)
2θ 50.4, I 371, (2 0 4)
2θ 62.8, I 162, (2 2 0)
2θ 62.9, I 221, (2 1 6)
2θ 71.3, I 171, (3 1 0)
2θ 76.7, I 172, (3 1 4)



2.
Diffraction record for Ce2SmHoS4. The PXRD pattern is calculated, not measured: it uses a crystal structure in Alexandria, relaxed with PBE and Cu Kα X-rays.
No peak broadening, texture or thermal motion is included.

Cell and atoms:
Unit cell a=6.894 b=3.971 c=6.941 alpha=90.00 beta=109.27 gamma=90.00
Space group P2/m (No. 10)
Asymmetric unit:
1 Ce 0.000 0.000 0.000 [1 per cell]
2 Ce 0.500 0.500 0.000 [1 per cell]
3 Sm 0.000 0.500 0.500 [1 per cell]
4 Ho 0.500 0.000 0.500 [1 per cell]
5 S 0.253 0.000 0.744 [2 per cell]
6 S 0.259 0.500 0.260 [2 per cell]

Most intense lines, 10° ≤ 2θ ≤ 80°, sorted by position:
2θ 27.2, I 194, (0 0 2)
2θ 27.4, I 569, (2 0 0)
2θ 31.7, I 1000, (1 1 1)
2θ 45.3, I 363, (2 0 2)
2θ 45.6, I 357, (0 2 0)
2θ 53.9, I 125, (3 1 1)
2θ 56.7, I 124, (2 2 -2)
2θ 66.3, I 115, (2 2 2)
2θ 75.1, I 106, (3 1 -5)
2θ 75.5, I 105, (4 2 0)



3.
Diffraction record for Ce2HoTe2S2. The PXRD pattern is calculated, not measured: it uses a crystal structure in Alexandria, relaxed with PBE and Cu Kα X-rays.
No peak broadening, texture or thermal motion is included.

Cell and atoms:
Unit cell a=5.071 b=5.071 c=16.114 alpha=90.00 beta=90.00 gamma=90.00
Space group I4/mmm (No. 139)
Asymmetric unit:
1 Ce 0.000 0.000 0.116 [4 per cell]
2 Ho 0.000 0.000 0.500 [2 per cell]
3 Te 0.000 0.000 0.315 [4 per cell]
4 S 0.000 0.500 0.000 [4 per cell]

Most intense lines, 10° ≤ 2θ ≤ 80°, sorted by position:
2θ 24.8, I 997, (1 1 0)
2θ 32.9, I 1000, (1 0 5)
2θ 33.4, I 147, (0 0 6)
2θ 35.4, I 589, (2 0 0)
2θ 49.1, I 649, (2 1 5)
2θ 50.9, I 206, (2 2 0)
2θ 57.5, I 201, (3 1 0)
2θ 62.0, I 161, (3 0 5)
2θ 69.1, I 87, (2 0 10)
2θ 73.5, I 194, (3 2 5)



4.
Diffraction record for CeHoTm2S6. The PXRD pattern is calculated, not measured: it uses a crystal structure in Alexandria, relaxed with PBE and Cu Kα X-rays.
No peak broadening, texture or thermal motion is included.

Cell and atoms:
Unit cell a=6.9301 b=6.9301 c=18.4232 alpha=90.00 beta=90.00 gamma=120.00
Space group R3 (No. 146, hexagonal axes)
Asymmetric unit:
1 Ce 0.0000 0.0000 0.0000 [3 per cell]
2 Ho 0.0000 0.0000 0.5060 [3 per cell]
3 Tm 0.0000 0.0000 0.2038 [3 per cell]
4 Tm 0.0000 0.0000 0.7074 [3 per cell]
5 S 0.0328 0.3582 0.7752 [9 per cell]
6 S 0.0534 0.6936 0.2746 [9 per cell]

Most intense lines, 10° ≤ 2θ ≤ 80°, sorted by position:
2θ 17.6, I 409, (0 1 2)
2θ 24.4, I 974, (1 0 4)
2θ 25.7, I 1000, (1 1 0)
2θ 35.7, I 480, (0 2 4)
2θ 39.2, I 785, (1 1 6)
2θ 44.5, I 469, (2 1 4)
2θ 45.3, I 475, (3 0 0)
2θ 51.9, I 247, (1 0 10)
2θ 61.4, I 198, (4 -2 6)
2θ 79.6, I 227, (2 0 14)



5.
Diffraction record for Ce3Ho5Sb8. The PXRD pattern is calculated, not measured: it uses a crystal structure in Alexandria, relaxed with PBE and Cu Kα X-rays.
No peak broadening, texture or thermal motion is included.

Cell and atoms:
Unit cell a=8.8364 b=8.8364 c=21.6173 alpha=90.00 beta=90.00 gamma=120.00
Space group R-3m (No. 166, hexagonal axes)
Asymmetric unit:
1 Ce 0.0000 0.5000 0.0000 [9 per cell]
2 Ho 0.0000 0.0000 0.0000 [3 per cell]
3 Ho 0.0000 0.0000 0.5000 [3 per cell]
4 Ho 0.0000 0.5000 0.5000 [9 per cell]
5 Sb 0.0000 0.0000 0.2474 [6 per cell]
6 Sb 0.0031 0.5015 0.7515 [18 per cell]

Most intense lines, 10° ≤ 2θ ≤ 80°, sorted by position:
2θ 12.3, I 6, (0 0 3)
2θ 24.7, I 27, (0 0 6)
2θ 28.6, I 1000, (0 2 4)
2θ 40.9, I 761, (2 2 0)
2θ 48.3, I 15, (0 2 10)
2θ 50.6, I 272, (4 0 4)
2θ 59.2, I 127, (0 4 8)
2θ 65.1, I 7, (2 0 14)
2θ 67.0, I 348, (2 4 4)
2θ 74.4, I 257, (6 0 0)



6.
Diffraction record for Ce5HoSb3. The PXRD pattern is calculated, not measured: it uses a crystal structure in Alexandria, relaxed with PBE and Cu Kα X-rays.
No peak broadening, texture or thermal motion is included.

Cell and atoms:
Unit cell a=6.651 b=8.961 c=8.973 alpha=105.95 beta=94.86 gamma=94.98
Space group P-1 (No. 2)
Asymmetric unit:
1 Ce 0.031 0.384 0.214 [2 per cell]
2 Ce 0.276 0.990 0.857 [2 per cell]
3 Ce 0.292 0.704 0.146 [2 per cell]
4 Ce 0.329 0.365 0.554 [2 per cell]
5 Ce 0.466 0.638 0.809 [2 per cell]
6 Ho 0.000 0.000 0.500 [1 per cell]
7 Ho 0.500 0.000 0.500 [1 per cell]
8 Sb 0.206 0.701 0.509 [2 per cell]
9 Sb 0.218 0.347 0.887 [2 per cell]
10 Sb 0.234 0.067 0.225 [2 per cell]

Most intense lines, 10° ≤ 2θ ≤ 80°, sorted by position:
2θ 30.0, I 129, (0 1 -3)
2θ 31.3, I 908, (0 3 0)
2θ 32.4, I 116, (0 3 -2)
2θ 33.1, I 1000, (2 1 -2)
2θ 34.0, I 291, (2 1 1)
2θ 35.1, I 139, (2 -1 2)
2θ 35.7, I 135, (1 3 0)
2θ 37.7, I 338, (0 3 -3)
2θ 40.3, I 299, (-2 2 2)
2θ 56.4, I 133, (2 -5 1)



7.
Diffraction record for Ce3Y2HoSb6. The PXRD pattern is calculated, not measured: it uses a crystal structure in Alexandria, relaxed with PBE and Cu Kα X-rays.
No peak broadening, texture or thermal motion is included.

Cell and atoms:
Unit cell a=7.699 b=13.333 c=7.687 alpha=90.00 beta=109.50 gamma=90.00
Space group C2/m (No. 12)
Asymmetric unit:
1 Ce 0.000 0.000 0.000 [2 per cell]
2 Ce 0.000 0.333 0.000 [4 per cell]
3 Y 0.000 0.166 0.500 [4 per cell]
4 Ho 0.000 0.500 0.500 [2 per cell]
5 Sb 0.247 0.334 0.743 [8 per cell]
6 Sb 0.249 0.000 0.744 [4 per cell]

Most intense lines, 10° ≤ 2θ ≤ 80°, sorted by position:
2θ 13.9, I 8, (1 1 0)
2θ 15.6, I 6, (1 1 -1)
2θ 28.4, I 1000, (1 3 1)
2θ 31.0, I 5, (2 0 1)
2θ 40.6, I 758, (0 6 0)
2θ 50.3, I 270, (4 0 0)
2θ 58.8, I 126, (2 6 2)
2θ 66.6, I 343, (4 6 0)
2θ 73.9, I 191, (6 0 -2)
2θ 74.0, I 62, (1 3 5)



8.
Diffraction record for CeHo3Sc7. The PXRD pattern is calculated, not measured: it uses a crystal structure in Alexandria, relaxed with PBE and Cu Kα X-rays.
No peak broadening, texture or thermal motion is included.

Cell and atoms:
Unit cell a=5.402 b=10.531 c=10.658 alpha=90.00 beta=90.00 gamma=90.00
Space group Immm (No. 71)
Asymmetric unit:
1 Ce 0.000 0.000 0.000 [2 per cell]
2 Ho 0.000 0.208 0.500 [4 per cell]
3 Ho 0.000 0.500 0.000 [2 per cell]
4 Sc 0.000 0.000 0.288 [4 per cell]
5 Sc 0.000 0.308 0.217 [8 per cell]
6 Sc 0.000 0.500 0.500 [2 per cell]

Most intense lines, 10° ≤ 2θ ≤ 80°, sorted by position:
2θ 16.6, I 477, (0 0 2)
2θ 25.1, I 1000, (1 2 1)
2θ 33.2, I 455, (2 0 0)
2θ 33.6, I 354, (0 0 4)
2θ 34.1, I 181, (0 4 0)
2θ 34.7, I 826, (1 2 3)
2θ 34.8, I 497, (1 3 2)
2θ 48.0, I 256, (2 0 4)
2θ 51.4, I 158, (0 0 6)
2θ 60.3, I 260, (3 2 3)



9.
Diffraction record for CeHo4Sc5. The PXRD pattern is calculated, not measured: it uses a crystal structure in Alexandria, relaxed with PBE and Cu Kα X-rays.
No peak broadening, texture or thermal motion is included.

Cell and atoms:
Unit cell a=10.025 b=10.025 c=5.602 alpha=90.00 beta=90.00 gamma=90.00
Space group I4mm (No. 107)
Asymmetric unit:
1 Ce 0.000 0.000 0.000 [2 per cell]
2 Ho 0.000 0.322 0.262 [8 per cell]
3 Sc 0.000 0.000 0.471 [2 per cell]
4 Sc 0.187 0.187 0.737 [8 per cell]

Most intense lines, 10° ≤ 2θ ≤ 80°, sorted by position:
2θ 25.4, I 477, (2 1 1)
2θ 28.1, I 168, (3 1 0)
2θ 31.2, I 1000, (3 0 1)
2θ 32.0, I 145, (0 0 2)
2θ 34.4, I 220, (1 1 2)
2θ 38.1, I 412, (3 3 0)
2θ 41.1, I 172, (2 2 2)
2θ 52.3, I 144, (4 2 2)
2θ 56.4, I 172, (3 0 3)
2θ 64.5, I 201, (6 3 1)



10.
Diffraction record for CeHoSc14. The PXRD pattern is calculated, not measured: it uses a crystal structure in Alexandria, relaxed with PBE and Cu Kα X-rays.
No peak broadening, texture or thermal motion is included.

Cell and atoms:
Unit cell a=10.436 b=6.699 c=11.556 alpha=90.00 beta=90.00 gamma=90.00
Space group Amm2 (No. 38)
Asymmetric unit:
1 Ce 0.000 0.000 0.000 [2 per cell]
2 Ho 0.000 0.000 0.499 [2 per cell]
3 Sc 0.000 0.249 0.746 [4 per cell]
4 Sc 0.252 0.000 0.831 [4 per cell]
5 Sc 0.255 0.000 0.329 [4 per cell]
6 Sc 0.257 0.248 0.081 [8 per cell]
7 Sc 0.500 0.000 0.497 [2 per cell]
8 Sc 0.500 0.000 0.997 [2 per cell]
9 Sc 0.500 0.250 0.248 [4 per cell]

Most intense lines, 10° ≤ 2θ ≤ 80°, sorted by position:
2θ 17.5, I 126, (1 0 2)
2θ 30.9, I 278, (0 0 4)
2θ 32.1, I 94, (1 2 2)
2θ 34.4, I 238, (4 0 0)
2θ 35.5, I 1000, (2 2 2)
2θ 46.9, I 166, (4 0 4)
2θ 55.0, I 114, (0 2 6)
2θ 62.3, I 177, (6 2 2)
2θ 66.5, I 123, (4 2 6)
2θ 67.0, I 91, (2 4 4)



11.
Diffraction record for CeHoSc2. The PXRD pattern is calculated, not measured: it uses a crystal structure in Alexandria, relaxed with PBE and Cu Kα X-rays.
No peak broadening, texture or thermal motion is included.

Cell and atoms:
Unit cell a=3.442 b=3.442 c=9.183 alpha=90.00 beta=90.00 gamma=90.00
Space group P4/mmm (No. 123)
Asymmetric unit:
1 Ce 0.000 0.000 0.000 [1 per cell]
2 Ho 0.000 0.000 0.500 [1 per cell]
3 Sc 0.500 0.500 0.244 [2 per cell]

Most intense lines, 10° ≤ 2θ ≤ 80°, sorted by position:
2θ 19.3, I 256, (0 0 2)
2θ 25.9, I 258, (1 0 0)
2θ 32.5, I 1000, (1 0 2)
2θ 36.9, I 353, (1 1 0)
2θ 39.2, I 148, (0 0 4)
2θ 42.0, I 149, (1 1 2)
2θ 53.2, I 121, (2 0 0)
2θ 55.0, I 217, (1 1 4)
2θ 63.8, I 276, (2 1 2)
2θ 66.9, I 118, (1 0 6)



12.
Diffraction record for CeHo8Sc2. The PXRD pattern is calculated, not measured: it uses a crystal structure in Alexandria, relaxed with PBE and Cu Kα X-rays.
No peak broadening, texture or thermal motion is included.

Cell and atoms:
Unit cell a=18.809 b=6.781 c=5.414 alpha=90.00 beta=92.77 gamma=90.00
Space group C2/m (No. 12)
Asymmetric unit:
1 Ce 0.000 0.000 0.000 [2 per cell]
2 Ho 0.048 0.500 0.238 [4 per cell]
3 Ho 0.136 0.265 0.733 [8 per cell]
4 Ho 0.192 0.000 0.235 [4 per cell]
5 Sc 0.215 0.500 0.248 [4 per cell]

Most intense lines, 10° ≤ 2θ ≤ 80°, sorted by position:
2θ 19.3, I 174, (2 0 1)
2θ 32.3, I 1000, (6 0 -1)
2θ 32.5, I 185, (5 1 1)
2θ 32.6, I 379, (4 2 0)
2θ 32.8, I 359, (2 2 1)
2θ 33.1, I 298, (0 0 2)
2θ 33.8, I 241, (6 0 1)
2θ 39.2, I 131, (4 0 2)
2θ 47.1, I 143, (8 2 0)
2θ 60.0, I 121, (8 2 2)